# 1
Starting from a PBE-relaxed structure, the X-ray diffraction stick pattern of K2CoPdS4 was computed for copper Kα.
No peak broadening, texture or thermal motion is included.

Largest 10 diffraction maxima, sorted by position, 2θ = 10–90°:
d/Å  I_rel
5.544  100
5.334  58
3.372  22
3.118  45
2.666  37
2.556  25
2.191  36
2.071  22
1.847  28
1.707  22

Cell and atoms:
Lattice parameters (Å, degrees): 12.4862 11.0241 7.0598 84.30 61.47 34.24
Sites, in units of the cell vectors:
K  0.0574  0.0574  0.6926
K  0.3074  0.3074  0.9426
K  0.6926  0.6926  0.0574
K  0.9426  0.9426  0.3074
Co  0.3750  0.3750  0.3750
Co  0.6250  0.6250  0.6250
Pd  0.1250  0.1250  0.1250
Pd  0.8750  0.8750  0.8750
S  0.0022  0.6299  0.5573
S  0.3107  0.5573  0.6299
S  0.3701  0.9978  0.6893
S  0.4427  0.6893  0.9978
S  0.5573  0.3107  0.0022
S  0.6299  0.0022  0.3107
S  0.6893  0.4427  0.3701
S  0.9978  0.3701  0.4427

***

# 2
Starting from a PBE-relaxed structure, the X-ray diffraction stick pattern of La2Si3 was computed for copper Kα.
No peak broadening, texture or thermal motion is included.

Largest 10 diffraction maxima, sorted by position, 2θ = 10–90°:
d/Å  I_rel
4.135  25
3.864  26
3.607  28
3.212  34
3.080  20
2.721  100
2.399  18
2.342  21
2.158  16
1.860  21

Cell and atoms:
Lattice parameters (Å, degrees): 7.7918 7.7918 7.7918 150.18 147.84 44.43
Sites, in units of the cell vectors:
La  0.0000  0.0000  0.0000
La  0.7505  0.2505  0.5000
Si  0.1658  0.6658  0.5000
Si  0.3284  0.8284  0.5000
Si  0.4210  0.4210  0.0000